[1]
Diffraction record for AcErHgPd. The powder diffraction line list is computed, not measured: it uses DFT lattice parameters and positions (PBE) and copper Kα.
Peak positions follow from Bragg's law for the DFT cell and can differ from measured ones.

Top 12 peaks for 10° ≤ 2θ ≤ 90°, by angle:
2θ 20.4, I = 5; 2θ 23.6, I = 1; 2θ 33.6, I = 100; 2θ 39.6, I = 3; 2θ 48.2, I = 18; 2θ 52.8, I = 1; 2θ 54.3, I = 1; 2θ 60.0, I = 38; 2θ 64.1, I = 1; 2θ 70.5, I = 12; 2θ 74.3, I = 1; 2θ 80.4, I = 17

Cell lengths 5.341, 5.341, 5.341 Å; angles 60.00, 60.00, 60.00 degrees
Fractional coordinates of all 4 atoms:
Ac: 0.000 0.000 0.000
Er: 0.500 0.500 0.500
Hg: 0.250 0.250 0.250
Pd: 0.750 0.750 0.750

---

[2]
Diffraction record for AcHo12Er2. The powder diffraction line list is computed, not measured: it uses DFT lattice parameters and positions (PBE) and copper Kα.
Peak positions follow from Bragg's law for the DFT cell and can differ from measured ones.

Top 12 peaks for 10° ≤ 2θ ≤ 90°, by angle:
2θ 30.2, I = 35; 2θ 30.4, I = 63; 2θ 31.1, I = 39; 2θ 32.2, I = 100; 2θ 32.5, I = 56; 2θ 33.7, I = 23; 2θ 46.2, I = 29; 2θ 51.1, I = 17; 2θ 56.3, I = 12; 2θ 60.0, I = 17; 2θ 60.6, I = 20; 2θ 61.7, I = 19

Cell lengths 6.610, 6.610, 24.311 Å; angles 92.25, 92.25, 114.55 degrees
Fractional coordinates of all 30 atoms:
Ac: 0.250 0.250 0.000
Ac: 0.750 0.750 0.000
Ho: 0.052 0.552 0.205
Ho: 0.085 0.584 0.332
Ho: 0.137 0.637 0.555
Ho: 0.142 0.142 0.574
Ho: 0.213 0.213 0.857
Ho: 0.230 0.730 0.921
Ho: 0.270 0.770 0.079
Ho: 0.287 0.287 0.143
Ho: 0.358 0.358 0.426
Ho: 0.363 0.863 0.445
Ho: 0.416 0.915 0.668
Ho: 0.448 0.948 0.795
Ho: 0.552 0.052 0.205
Ho: 0.584 0.085 0.332
Ho: 0.637 0.137 0.555
Ho: 0.642 0.642 0.574
Ho: 0.713 0.713 0.857
Ho: 0.730 0.230 0.921
Ho: 0.770 0.270 0.079
Ho: 0.787 0.787 0.143
Ho: 0.858 0.858 0.426
Ho: 0.863 0.363 0.445
Ho: 0.915 0.416 0.668
Ho: 0.948 0.448 0.795
Er: 0.070 0.070 0.275
Er: 0.430 0.430 0.725
Er: 0.570 0.570 0.275
Er: 0.930 0.930 0.725

---

[3]
Diffraction record for AcHo2Er4. The powder diffraction line list is computed, not measured: it uses DFT lattice parameters and positions (PBE) and copper Kα.
Peak positions follow from Bragg's law for the DFT cell and can differ from measured ones.

Top 12 peaks for 10° ≤ 2θ ≤ 90°, by angle:
2θ 29.9, I = 75; 2θ 31.1, I = 96; 2θ 31.3, I = 95; 2θ 31.4, I = 100; 2θ 32.4, I = 88; 2θ 32.9, I = 85; 2θ 41.6, I = 28; 2θ 46.0, I = 24; 2θ 51.5, I = 26; 2θ 57.2, I = 21; 2θ 57.8, I = 21; 2θ 61.6, I = 43

Cell lengths 7.097, 8.642, 8.826 Å; angles 114.32, 101.59, 101.71 degrees
Fractional coordinates of all 14 atoms:
Ac: 0.000 0.000 0.000
Ac: 0.085 0.727 0.575
Ho: 0.109 0.553 0.867
Ho: 0.226 0.163 0.726
Ho: 0.583 0.732 0.583
Ho: 0.801 0.893 0.320
Er: 0.199 0.325 0.451
Er: 0.313 0.896 0.318
Er: 0.404 0.447 0.160
Er: 0.502 0.004 0.995
Er: 0.600 0.555 0.861
Er: 0.695 0.324 0.447
Er: 0.718 0.155 0.720
Er: 0.892 0.437 0.142